(1)
The following is a computed X-ray diffraction stick pattern of Tm8Si3GeSe4. It was derived from a DFT-relaxed cell (PBE, Alexandria), using Cu Kα (weighted mean of Kα1 and Kα2).
No peak broadening, texture or thermal motion is included.

Top 8 peaks for 10° ≤ 2θ ≤ 90°, low angle first:
- 2θ = 26.9°, I = 32, hkl 2 0 2
- 2θ = 31.1°, I = 100, hkl 0 2 4
- 2θ = 44.3°, I = 36, hkl 2 0 8
- 2θ = 44.7°, I = 37, hkl 2 2 0
- 2θ = 55.4°, I = 19, hkl 4 0 4
- 2θ = 73.3°, I = 15, hkl 2 2 12
- 2θ = 73.8°, I = 17, hkl 2 4 4
- 2θ = 82.1°, I = 12, hkl 4 2 8

Cell and atoms:
```
data_Tm8Si3GeSe4
_symmetry_space_group_name_H-M 'R -3 m'
_symmetry_Int_Tables_number 166
_symmetry_space_group_name_Hall '-R 3 2"'
_cell_length_a 8.1165
_cell_length_b 8.1165
_cell_length_c 20.1040
_cell_angle_alpha 90.00
_cell_angle_beta 90.00
_cell_angle_gamma 120.00
loop_
_atom_site_label
_atom_site_type_symbol
_atom_site_fract_x
_atom_site_fract_y
_atom_site_fract_z
_atom_site_occupancy
Tm1 Tm 0.0000 0.0000 0.2446 1
Tm2 Tm 0.0010 0.5005 0.7552 1
Si1 Si 0.0000 0.5000 0.5000 1
Ge1 Ge 0.0000 0.0000 0.5000 1
Se1 Se 0.0000 0.0000 0.0000 1
Se2 Se 0.0000 0.5000 0.0000 1
```

(2)
The following is a computed X-ray diffraction stick pattern of Sm8Ge5Se. It was derived from a DFT-relaxed cell (PBE, Alexandria), using Cu Kα (weighted mean of Kα1 and Kα2).
No peak broadening, texture or thermal motion is included.

Top 8 peaks for 10° ≤ 2θ ≤ 90°, low angle first:
- 2θ = 28.0°, I = 15, hkl 2 0 2
- 2θ = 31.4°, I = 100, hkl 1 3 0
- 2θ = 37.3°, I = 61, hkl 3 2 1
- 2θ = 49.5°, I = 19, hkl 2 2 4
- 2θ = 51.7°, I = 34, hkl 1 4 3
- 2θ = 63.6°, I = 22, hkl 1 1 6
- 2θ = 67.3°, I = 14, hkl 1 4 5
- 2θ = 77.8°, I = 15, hkl 2 1 7

Cell and atoms:
```
data_Sm8Ge5Se
_symmetry_space_group_name_H-M 'I -4'
_symmetry_Int_Tables_number 82
_symmetry_space_group_name_Hall 'I -4'
_cell_length_a 9.0142
_cell_length_b 9.0142
_cell_length_c 9.0249
_cell_angle_alpha 90.00
_cell_angle_beta 90.00
_cell_angle_gamma 90.00
loop_
_atom_site_label
_atom_site_type_symbol
_atom_site_fract_x
_atom_site_fract_y
_atom_site_fract_z
_atom_site_occupancy
Sm1 Sm 0.0678 0.1853 0.1878 1
Sm2 Sm 0.0682 0.3176 0.5582 1
Ge1 Ge 0.0000 0.5000 0.2500 1
Ge2 Ge 0.1260 0.2510 0.8736 1
Se1 Se 0.0000 0.0000 0.5000 1
```

(3)
The following is a computed X-ray diffraction stick pattern of Sm7GeSe5. It was derived from a DFT-relaxed cell (PBE, Alexandria), using Cu Kα (weighted mean of Kα1 and Kα2).
No peak broadening, texture or thermal motion is included.

Top 8 peaks for 10° ≤ 2θ ≤ 90°, low angle first:
- 2θ = 28.6°, I = 78, hkl 2 0 7
- 2θ = 29.4°, I = 33, hkl 3 1 1
- 2θ = 30.1°, I = 100, hkl 3 1 2
- 2θ = 31.2°, I = 64, hkl 3 1 -3
- 2θ = 31.9°, I = 40, hkl 2 0 8
- 2θ = 40.0°, I = 38, hkl 1 1 9
- 2θ = 43.7°, I = 39, hkl 0 2 0
- 2θ = 43.9°, I = 34, hkl 5 1 5

Cell and atoms:
```
data_Sm7GeSe5
_symmetry_space_group_name_H-M 'C 1 m 1'
_symmetry_Int_Tables_number 8
_symmetry_space_group_name_Hall 'C -2y'
_cell_length_a 13.5884
_cell_length_b 4.1466
_cell_length_c 24.6176
_cell_angle_alpha 90.00
_cell_angle_beta 90.01
_cell_angle_gamma 90.00
loop_
_atom_site_label
_atom_site_type_symbol
_atom_site_fract_x
_atom_site_fract_y
_atom_site_fract_z
_atom_site_occupancy
Sm1 Sm 0.0000 0.0000 0.0000 1
Sm2 Sm 0.0000 0.0000 0.1380 1
Sm3 Sm 0.0559 0.5000 0.2813 1
Sm4 Sm 0.0556 0.5000 0.8568 1
Sm5 Sm 0.1023 0.0000 0.7024 1
Sm6 Sm 0.1030 0.0000 0.4354 1
Sm7 Sm 0.1590 0.5000 0.5690 1
Sm8 Sm 0.2298 0.5000 0.0690 1
Sm9 Sm 0.2861 0.0000 0.2026 1
Sm10 Sm 0.2860 0.0000 0.9355 1
Sm11 Sm 0.3333 0.5000 0.3568 1
Sm12 Sm 0.3328 0.5000 0.7813 1
Sm13 Sm 0.3890 0.0000 0.5001 1
Sm14 Sm 0.3885 0.0000 0.6380 1
Ge1 Ge 0.0037 0.0000 0.5692 1
Ge2 Ge 0.3851 0.0000 0.0690 1
Se1 Se 0.1415 0.5000 0.9633 1
Se2 Se 0.1416 0.5000 0.1747 1
Se3 Se 0.1942 0.0000 0.8190 1
Se4 Se 0.1946 0.0000 0.3190 1
Se5 Se 0.2470 0.5000 0.6748 1
Se6 Se 0.2475 0.5000 0.4633 1
Se7 Se 0.4178 0.5000 0.2469 1
Se8 Se 0.4175 0.5000 0.8911 1
Se9 Se 0.4714 0.0000 0.3912 1
Se10 Se 0.4709 0.0000 0.7469 1
```

Please write out number 2 again, unchanged.
The following is a computed X-ray diffraction stick pattern of Sm8Ge5Se. It was derived from a DFT-relaxed cell (PBE, Alexandria), using Cu Kα (weighted mean of Kα1 and Kα2).
No peak broadening, texture or thermal motion is included.

Top 8 peaks for 10° ≤ 2θ ≤ 90°, low angle first:
- 2θ = 28.0°, I = 15, hkl 2 0 2
- 2θ = 31.4°, I = 100, hkl 1 3 0
- 2θ = 37.3°, I = 61, hkl 3 2 1
- 2θ = 49.5°, I = 19, hkl 2 2 4
- 2θ = 51.7°, I = 34, hkl 1 4 3
- 2θ = 63.6°, I = 22, hkl 1 1 6
- 2θ = 67.3°, I = 14, hkl 1 4 5
- 2θ = 77.8°, I = 15, hkl 2 1 7

Cell and atoms:
```
data_Sm8Ge5Se
_symmetry_space_group_name_H-M 'I -4'
_symmetry_Int_Tables_number 82
_symmetry_space_group_name_Hall 'I -4'
_cell_length_a 9.0142
_cell_length_b 9.0142
_cell_length_c 9.0249
_cell_angle_alpha 90.00
_cell_angle_beta 90.00
_cell_angle_gamma 90.00
loop_
_atom_site_label
_atom_site_type_symbol
_atom_site_fract_x
_atom_site_fract_y
_atom_site_fract_z
_atom_site_occupancy
Sm1 Sm 0.0678 0.1853 0.1878 1
Sm2 Sm 0.0682 0.3176 0.5582 1
Ge1 Ge 0.0000 0.5000 0.2500 1
Ge2 Ge 0.1260 0.2510 0.8736 1
Se1 Se 0.0000 0.0000 0.5000 1
```

Please write out number 3 again, unchanged.
The following is a computed X-ray diffraction stick pattern of Sm7GeSe5. It was derived from a DFT-relaxed cell (PBE, Alexandria), using Cu Kα (weighted mean of Kα1 and Kα2).
No peak broadening, texture or thermal motion is included.

Top 8 peaks for 10° ≤ 2θ ≤ 90°, low angle first:
- 2θ = 28.6°, I = 78, hkl 2 0 7
- 2θ = 29.4°, I = 33, hkl 3 1 1
- 2θ = 30.1°, I = 100, hkl 3 1 2
- 2θ = 31.2°, I = 64, hkl 3 1 -3
- 2θ = 31.9°, I = 40, hkl 2 0 8
- 2θ = 40.0°, I = 38, hkl 1 1 9
- 2θ = 43.7°, I = 39, hkl 0 2 0
- 2θ = 43.9°, I = 34, hkl 5 1 5

Cell and atoms:
```
data_Sm7GeSe5
_symmetry_space_group_name_H-M 'C 1 m 1'
_symmetry_Int_Tables_number 8
_symmetry_space_group_name_Hall 'C -2y'
_cell_length_a 13.5884
_cell_length_b 4.1466
_cell_length_c 24.6176
_cell_angle_alpha 90.00
_cell_angle_beta 90.01
_cell_angle_gamma 90.00
loop_
_atom_site_label
_atom_site_type_symbol
_atom_site_fract_x
_atom_site_fract_y
_atom_site_fract_z
_atom_site_occupancy
Sm1 Sm 0.0000 0.0000 0.0000 1
Sm2 Sm 0.0000 0.0000 0.1380 1
Sm3 Sm 0.0559 0.5000 0.2813 1
Sm4 Sm 0.0556 0.5000 0.8568 1
Sm5 Sm 0.1023 0.0000 0.7024 1
Sm6 Sm 0.1030 0.0000 0.4354 1
Sm7 Sm 0.1590 0.5000 0.5690 1
Sm8 Sm 0.2298 0.5000 0.0690 1
Sm9 Sm 0.2861 0.0000 0.2026 1
Sm10 Sm 0.2860 0.0000 0.9355 1
Sm11 Sm 0.3333 0.5000 0.3568 1
Sm12 Sm 0.3328 0.5000 0.7813 1
Sm13 Sm 0.3890 0.0000 0.5001 1
Sm14 Sm 0.3885 0.0000 0.6380 1
Ge1 Ge 0.0037 0.0000 0.5692 1
Ge2 Ge 0.3851 0.0000 0.0690 1
Se1 Se 0.1415 0.5000 0.9633 1
Se2 Se 0.1416 0.5000 0.1747 1
Se3 Se 0.1942 0.0000 0.8190 1
Se4 Se 0.1946 0.0000 0.3190 1
Se5 Se 0.2470 0.5000 0.6748 1
Se6 Se 0.2475 0.5000 0.4633 1
Se7 Se 0.4178 0.5000 0.2469 1
Se8 Se 0.4175 0.5000 0.8911 1
Se9 Se 0.4714 0.0000 0.3912 1
Se10 Se 0.4709 0.0000 0.7469 1
```